Computed powder diffraction line list
Compound: TlPd5Se
Radiation: Cu Kα (λ = 1.5418 Å)
Structure: a crystal structure in the Materials Project, relaxed with GGA-PBE
Lines closer than 0.1° are merged.

Crystal structure
```
data_TlPd5Se
_space_group_name_H-M_alt 'P 4/m m m'
_space_group_IT_number 123
_space_group_name_Hall '-P 4 2'
_cell_length_a 4.0988
_cell_length_b 4.0988
_cell_length_c 7.2352
_cell_angle_alpha 90.00
_cell_angle_beta 90.00
_cell_angle_gamma 90.00
loop_
_atom_site_label
_atom_site_type_symbol
_atom_site_fract_x
_atom_site_fract_y
_atom_site_fract_z
Tl1 Tl 0.0000 0.0000 0.0000
Pd1 Pd 0.0000 0.5000 0.2861
Pd2 Pd 0.5000 0.5000 0.0000
Se1 Se 0.5000 0.5000 0.5000
```

The 10 most intense peaks (10 to 90 degrees two-theta), sorted by position:
| Position (°2θ) | I/Imax | (hkl) |
| --- | --- | --- |
| 12.23 | 12 | 0 0 1 |
| 24.97 | 16 | 1 0 1 |
| 33.30 | 29 | 1 1 1 |
| 37.28 | 13 | 0 0 3 |
| 39.85 | 100 | 1 1 2 |
| 44.19 | 42 | 2 0 0 |
| 59.16 | 13 | 2 0 3 |
| 64.28 | 13 | 2 2 0 |
| 69.29 | 14 | 2 0 4 |
| 78.37 | 27 | 3 1 2 |